This entry pairs a crystal structure of TbErCuAg with its theoretical X-ray diffraction stick pattern. Radiation: λ = 1.5418 Å (Cu Kα). Structure: DFT lattice parameters and positions (PBE).
No peak broadening, texture or thermal motion is included.

```
data_TbErCuAg
_chemical_formula_sum 'Tb1 Er1 Cu1 Ag1'
_symmetry_space_group_name_H-M 'P 4 m m'
_symmetry_Int_Tables_number 99
_cell_length_a 3.5303
_cell_length_b 3.5303
_cell_length_c 7.1526
_cell_angle_alpha 90.00
_cell_angle_beta 90.00
_cell_angle_gamma 90.00
loop_
_symmetry_equiv_pos_as_xyz
'x,y,z'
'-y,x,z'
'-x,-y,z'
'y,-x,z'
'-x,y,z'
'y,x,z'
'x,-y,z'
'-y,-x,z'
loop_
_atom_site_label
_atom_site_type_symbol
_atom_site_fract_x
_atom_site_fract_y
_atom_site_fract_z
_atom_site_occupancy
Tb1 Tb 0.0000 0.0000 0.0000 1
Er1 Er 0.0000 0.0000 0.5281 1
Cu1 Cu 0.5000 0.5000 0.7570 1
Ag1 Ag 0.5000 0.5000 0.2711 1
```

The 10 most intense peaks (2θ from 5° to 70°), sorted by position:
| two_theta | Rel. int. |
| --- | --- |
| 24.90 | 5 |
| 25.23 | 10 |
| 28.19 | 4 |
| 35.74 | 100 |
| 35.98 | 50 |
| 44.25 | 4 |
| 51.08 | 8 |
| 51.79 | 17 |
| 64.05 | 17 |
| 64.52 | 35 |